Simulated XRD peak list of Y2S3 for Cu Ka, from a structure optimized by DFT (PBE).
Intensities are scaled so that the largest is 100.

The 12 most intense peaks (10 to 80 degrees two-theta), by angle:
hkl 2 0 1, 2θ 18.95, rel. 56.5
hkl 1 0 4, 2θ 23.37, rel. 67.5
hkl 2 0 -4, 2θ 24.85, rel. 46.3
hkl 2 1 -1, 2θ 28.24, rel. 67.7
hkl 2 1 1, 2θ 29.18, rel. 55.6
hkl 1 0 6, 2θ 33.28, rel. 50.1
hkl 3 1 -1, 2θ 34.41, rel. 60.5
hkl 3 1 -3, 2θ 36.29, rel. 86.0
hkl 3 1 3, 2θ 39.69, rel. 83.2
hkl 2 1 -7, 2θ 44.07, rel. 100.0
hkl 1 1 7, 2θ 44.70, rel. 61.7
hkl 0 2 0, 2θ 44.82, rel. 69.6

Structure:
a b c (Å): 10.2341 4.0442 17.6718
angles (deg): 90.00 98.66 90.00
Element x y z (fractional)
Y (0.0136, 0.2500, 0.1012)
Y (0.0496, 0.7500, 0.6151)
Y (0.3108, 0.2500, 0.4793)
Y (0.3127, 0.2500, 0.7795)
Y (0.3292, 0.7500, 0.2811)
Y (0.3755, 0.2500, 0.0699)
Y (0.6245, 0.7500, 0.9301)
Y (0.6708, 0.2500, 0.7189)
Y (0.6873, 0.7500, 0.2205)
Y (0.6892, 0.7500, 0.5207)
Y (0.9504, 0.2500, 0.3849)
Y (0.9864, 0.7500, 0.8988)
S (0.1150, 0.7500, 0.4666)
S (0.1323, 0.2500, 0.9681)
S (0.1383, 0.7500, 0.7816)
S (0.1795, 0.2500, 0.3166)
S (0.2105, 0.7500, 0.1302)
S (0.2318, 0.2500, 0.6268)
S (0.4486, 0.2500, 0.9248)
S (0.4507, 0.7500, 0.4243)
S (0.4925, 0.2500, 0.2319)
S (0.5075, 0.7500, 0.7681)
S (0.5493, 0.2500, 0.5757)
S (0.5514, 0.7500, 0.0752)
S (0.7682, 0.7500, 0.3732)
S (0.7895, 0.2500, 0.8698)
S (0.8205, 0.7500, 0.6834)
S (0.8617, 0.2500, 0.2184)
S (0.8677, 0.7500, 0.0319)
S (0.8850, 0.2500, 0.5334)